[1]
Bi2O3: computed X-ray diffraction stick pattern (Cu Kα, 1.54184 Å), based on the PBE geometry in Alexandria.
No peak broadening, texture or thermal motion is included.

Most intense lines, 2θ from 5° to 70°, low angle first:
(0 0 2), d = 3.476 Å, 2θ = 25.63°, intensity 26; (1 1 1), d = 3.363 Å, 2θ = 26.51°, intensity 22; (1 1 -2), d = 3.319 Å, 2θ = 26.86°, intensity 28; (1 2 0), d = 3.304 Å, 2θ = 26.99°, intensity 100; (1 2 -1), d = 3.290 Å, 2θ = 27.11°, intensity 50; (0 1 2), d = 3.204 Å, 2θ = 27.84°, intensity 35; (2 0 0), d = 2.746 Å, 2θ = 32.61°, intensity 57; (1 2 -2), d = 2.726 Å, 2θ = 32.85°, intensity 23; (2 0 -2), d = 2.712 Å, 2θ = 33.03°, intensity 25; (0 4 1), d = 1.983 Å, 2θ = 45.76°, intensity 28

Cell and atoms:
```
Bi2O3
1.0
5.9313 0.0000 0.0000
0.0000 8.2755 0.0000
-2.8548 0.0000 6.9510
Bi O
8 12
Cartesian
-0.9102 1.5280 2.5554 Bi
-2.3376 2.6097 6.0309 Bi
0.6661 4.4701 5.0309 Bi
2.0935 7.9431 1.5554 Bi
0.9831 0.3324 5.3957 Bi
2.4105 3.8054 1.9202 Bi
5.4142 5.6658 0.9201 Bi
3.9868 6.7475 4.3957 Bi
-1.4537 4.4056 6.8598 O
-0.0263 8.0077 3.3843 O
0.4951 4.5785 2.6176 O
-0.9323 7.8348 6.0931 O
1.0555 1.6881 1.4415 O
-0.3719 2.4496 4.9170 O
3.4485 5.8259 2.0340 O
2.0211 6.5874 5.5095 O
4.0089 0.4407 0.8579 O
2.5815 3.6970 4.3334 O
3.1029 0.2678 3.5667 O
4.5303 3.8699 0.0912 O
```

[2]
BiO: computed X-ray diffraction stick pattern (Cu Kα, 1.54184 Å), based on the PBE geometry in Alexandria.
No peak broadening, texture or thermal motion is included.

Most intense lines, 2θ from 5° to 70°, low angle first:
(0 3 1), d = 3.144 Å, 2θ = 28.39°, intensity 100; (1 2 0), d = 3.099 Å, 2θ = 28.81°, intensity 82; (1 1 1), d = 3.051 Å, 2θ = 29.27°, intensity 77; (0 0 2), d = 3.001 Å, 2θ = 29.77°, intensity 57; (1 2 2), d = 2.156 Å, 2θ = 41.91°, intensity 77; (1 5 1), d = 1.816 Å, 2θ = 50.24°, intensity 62; (0 3 3), d = 1.759 Å, 2θ = 51.99°, intensity 21; (2 3 1), d = 1.607 Å, 2θ = 57.34°, intensity 30; (2 0 2), d = 1.587 Å, 2θ = 58.13°, intensity 18; (1 5 3), d = 1.380 Å, 2θ = 67.94°, intensity 23

Cell and atoms:
```
BiO
1.0
3.7395 0.0000 0.0000
0.0000 11.0702 0.0000
0.0000 0.0000 6.0023
Bi O
6 6
Cartesian
0.0000 0.0000 0.0000 Bi
0.0000 5.5351 3.0012 Bi
1.8697 2.1935 3.0789 Bi
1.8697 3.3416 0.0777 Bi
1.8697 7.7286 0.0777 Bi
1.8697 8.8766 3.0789 Bi
0.0000 2.2067 5.3204 O
0.0000 3.3284 2.3192 O
0.0000 7.7418 2.3192 O
0.0000 8.8635 5.3204 O
1.8697 0.0000 4.7599 O
1.8697 5.5351 1.7588 O
```